Entry 1:
# LiIn4Au5
Calculated powder diffractogram, copper Kα. Input: the PBE geometry in Alexandria.
Kinematic intensities with the Lorentz-polarization factor, no thermal factor.

Structural model:
Lattice parameters (Å, degrees): 5.010 5.583 7.908 108.69 94.62 90.88
Space group P1 (No. 1)
One atom of each set of equivalent atoms:
1 Li 0.000 0.000 0.000 x1
2 In 0.269 0.896 0.440 x1
3 In 0.480 0.684 0.893 x1
4 In 0.567 0.333 0.215 x1
5 In 0.894 0.308 0.695 x1
6 Au 0.079 0.513 0.065 x1
7 Au 0.096 0.368 0.391 x1
8 Au 0.416 0.141 0.823 x1
9 Au 0.731 0.868 0.255 x1
10 Au 0.787 0.771 0.616 x1

Peak list (8 most intense, 2θ from 15° to 90°, sorted by position)
2θ/deg	d_spacing	Rel. int.	(hkl)
25.1	3.551	36.5	1 1 0
31.2	2.866	56.0	1 0 2
36.7	2.448	28.6	1 -2 1
36.9	2.433	39.9	2 0 -1
39.0	2.312	100.0	1 0 -3
39.3	2.295	26.1	2 -1 0
39.7	2.270	35.5	0 2 1
40.3	2.237	30.4	1 -1 3

***

Entry 2:
# HoSiPd6
Calculated powder diffractogram, copper Kα. Input: the PBE geometry in Alexandria.
Kinematic intensities with the Lorentz-polarization factor, no thermal factor.

Structural model:
Lattice parameters (Å, degrees): 5.5937 5.5937 17.1849 90.00 90.00 120.00
Space group R-3m (No. 166, hexagonal axes)
One atom of each set of equivalent atoms:
1 Ho 0.0000 0.0000 0.0000 x3
2 Si 0.0000 0.0000 0.5000 x3
3 Pd 0.0142 0.5071 0.9225 x18

Peak list (8 most intense, 2θ from 15° to 90°, sorted by position)
2θ/deg	d_spacing	Rel. int.	(hkl)
15.5	5.728	24.7	0 0 3
27.8	3.214	42.6	1 0 4
31.2	2.864	21.8	0 0 6
31.9	2.803	23.5	0 1 5
37.5	2.398	100.0	0 2 1
38.6	2.331	56.9	2 0 2
45.3	2.001	37.3	1 1 6
66.9	1.398	24.5	2 2 0

***

Entry 3:
# Cs6Tl3As
Calculated powder diffractogram, copper Kα. Input: the PBE geometry in Alexandria.
Kinematic intensities with the Lorentz-polarization factor, no thermal factor.

Structural model:
Lattice parameters (Å, degrees): 11.149 7.825 15.790 90.00 132.17 90.00
Space group P2_1/c (No. 14)
One atom of each set of equivalent atoms:
1 Cs 0.094 0.246 0.356 x4
2 Cs 0.214 0.108 0.658 x4
3 Cs 0.381 0.580 0.813 x4
4 Tl 0.252 0.693 0.508 x4
5 Tl 0.500 0.000 0.000 x2
6 As 0.000 0.000 0.000 x2

Peak list (8 most intense, 2θ from 15° to 90°, sorted by position)
2θ/deg	d_spacing	Rel. int.	(hkl)
24.1	3.691	31.6	1 2 -1
24.8	3.587	41.8	3 0 -2
25.3	3.521	31.1	2 1 -4
25.5	3.491	92.7	0 1 3
26.4	3.372	51.8	1 1 2
27.1	3.292	67.8	1 1 -4
27.9	3.201	100.0	2 2 -2
32.2	2.782	44.6	4 0 -4

***

Entry 4:
# FeSiH
Calculated powder diffractogram, copper Kα. Input: the PBE geometry in Alexandria.
Kinematic intensities with the Lorentz-polarization factor, no thermal factor.

Structural model:
Lattice parameters (Å, degrees): 4.800 2.778 4.344 90.00 111.65 90.00
Space group Cm (No. 8)
One atom of each set of equivalent atoms:
1 Fe 0.000 0.000 0.000 x2
2 Si 0.194 0.000 0.582 x2
3 H 0.217 0.500 0.155 x2

Peak list (8 most intense, 2θ from 15° to 90°, sorted by position)
2θ/deg	d_spacing	Rel. int.	(hkl)
22.0	4.037	36.7	0 0 1
38.2	2.357	100.0	2 0 -1
40.4	2.234	26.4	1 1 -1
44.9	2.019	22.9	0 0 2
48.4	1.882	45.2	1 1 1
53.7	1.706	48.5	2 0 1
67.6	1.387	16.2	3 1 -1
84.8	1.143	13.0	3 1 -3